1.
The following is a simulated X-ray diffraction stick pattern of CeSbO. It was derived from a DFT-relaxed cell (PBE, Alexandria), using copper Kα.

Structural model:
a = 10.8854 Å, b = 10.8854 Å, c = 10.8854 Å
α = 161.74°, β = 161.74°, γ = 25.93°
Atoms (fractional coordinates):
Ce 0.1807 0.1807 0.0000
Ce 0.8193 0.8193 0.0000
Sb 0.4338 0.4338 0.0000
Sb 0.5662 0.5662 0.0000
O 0.2909 0.2909 0.0000
O 0.7091 0.7091 0.0000

Principal peaks in the range 15° ≤ 2θ ≤ 90°, by angle:
Position (°2θ)	I/Imax
28.76	100
33.45	64
33.80	42
36.80	77
50.82	52
53.02	26



2.
The following is a simulated X-ray diffraction stick pattern of AcLaSe2S. It was derived from a DFT-relaxed cell (PBE, Alexandria), using copper Kα.

Structural model:
a = 4.4457 Å, b = 4.4457 Å, c = 15.3900 Å
α = 90.00°, β = 90.00°, γ = 90.00°
Atoms (fractional coordinates):
Ac 0.2500 0.2500 0.1213
Ac 0.7500 0.7500 0.8787
La 0.2500 0.2500 0.6099
La 0.7500 0.7500 0.3901
Se 0.2500 0.2500 0.4062
Se 0.2500 0.2500 0.7933
Se 0.7500 0.7500 0.2067
Se 0.7500 0.7500 0.5938
S 0.2500 0.7500 0.0000
S 0.7500 0.2500 0.0000

Principal peaks in the range 15° ≤ 2θ ≤ 90°, by angle:
Position (°2θ)	I/Imax
23.11	100
28.39	84
36.92	57
40.60	82
47.22	46
58.75	42



3.
The following is a simulated X-ray diffraction stick pattern of ErMoH. It was derived from a DFT-relaxed cell (PBE, Alexandria), using copper Kα.

Structural model:
a = 3.4369 Å, b = 3.4000 Å, c = 8.4745 Å
α = 90.00°, β = 90.04°, γ = 90.00°
Atoms (fractional coordinates):
Er 0.2495 0.2500 0.1665
Er 0.7505 0.7500 0.8335
Mo 0.2501 0.7500 0.5385
Mo 0.7499 0.2500 0.4615
H 0.2486 0.2500 0.8992
H 0.7514 0.7500 0.1008

Principal peaks in the range 15° ≤ 2θ ≤ 90°, by angle:
Position (°2θ)	I/Imax
28.02	52
28.28	99
31.67	77
33.57	81
38.74	100
43.08	65